Structure and calculated X-ray diffraction stick pattern of NaHoO2 (a DFT-relaxed cell (GGA-PBE, the Materials Project); Cu Ka).
Lines closer than 0.1° are merged.

Largest 8 diffraction maxima, in order of rising 2θ, 2θ from 5° to 70°:
d_spacing, two_theta, Rel. int.
5.168, 17.16, 100.0
3.440, 25.90, 48.4
2.807, 31.89, 32.5
2.765, 32.38, 59.4
2.744, 32.64, 29.5
2.513, 35.73, 45.4
2.347, 38.35, 76.2
1.730, 52.91, 27.0

```
NaHoO2
1.0
3.3289 -6.6231 0.0000
3.3289 6.6231 0.0000
-3.2050 0.0000 5.0254
Na Ho O
4 4 8
direct
0.0557 0.9443 0.7500
0.1801 0.8199 0.2500
0.8199 0.1801 0.7500
0.9443 0.0557 0.2500
0.3068 0.6932 0.7500
0.4328 0.5672 0.2500
0.5672 0.4328 0.7500
0.6932 0.3068 0.2500
0.0843 0.4605 0.2942
0.2328 0.3598 0.7962
0.3598 0.2328 0.2962
0.4605 0.0843 0.7942
0.5395 0.9157 0.2058
0.6402 0.7672 0.7038
0.7672 0.6402 0.2038
0.9157 0.5395 0.7058
```